# Li11V6O5F19
Computed powder X-ray diffraction pattern, Cu Ka. Input: a DFT-relaxed cell (PBE+U, the Materials Project).
Peak positions follow from Bragg's law for the DFT cell and can differ from measured ones.

The 8 most intense peaks (15° ≤ 2θ ≤ 90°), low angle first:
2θ 16.68, I 100; 2θ 24.93, I 74; 2θ 25.11, I 35; 2θ 25.28, I 38; 2θ 32.71, I 24; 2θ 34.68, I 17; 2θ 49.06, I 17; 2θ 51.57, I 20

Structure:
```
data_Li11V6O5F19
_cell_length_a 5.199
_cell_length_b 5.476
_cell_length_c 16.162
_cell_angle_alpha 80.57
_cell_angle_beta 89.38
_cell_angle_gamma 89.33
_symmetry_space_group_name_H-M 'P 1'
_symmetry_Int_Tables_number 1
loop_
_symmetry_equiv_pos_as_xyz
'x,y,z'
loop_
_atom_site_label
_atom_site_type_symbol
_atom_site_fract_x
_atom_site_fract_y
_atom_site_fract_z
Li1 Li 0.000 0.000 0.000
Li2 Li 0.000 0.326 0.330
Li3 Li 0.012 0.957 0.782
Li4 Li 0.023 0.846 0.425
Li5 Li 0.045 0.479 0.104
Li6 Li 0.469 0.978 0.104
Li7 Li 0.494 0.500 0.793
Li8 Li 0.502 0.813 0.331
Li9 Li 0.513 0.155 0.663
Li10 Li 0.523 0.451 0.987
Li11 Li 0.985 0.627 0.660
V1 V 0.008 0.474 0.889
V2 V 0.021 0.157 0.562
V3 V 0.029 0.813 0.230
V4 V 0.482 0.307 0.232
V5 V 0.489 0.625 0.560
V6 V 0.506 0.973 0.889
O1 O 0.199 0.080 0.265
O2 O 0.200 0.419 0.597
O3 O 0.304 0.582 0.260
O4 O 0.315 0.266 0.914
O5 O 0.698 0.678 0.868
F1 F 0.096 0.180 0.444
F2 F 0.133 0.604 0.773
F3 F 0.137 0.848 0.103
F4 F 0.187 0.764 0.933
F5 F 0.324 0.924 0.601
F6 F 0.371 0.734 0.445
F7 F 0.372 0.054 0.773
F8 F 0.384 0.346 0.102
F9 F 0.633 0.517 0.679
F10 F 0.640 0.901 0.008
F11 F 0.658 0.179 0.337
F12 F 0.683 0.330 0.534
F13 F 0.695 0.011 0.192
F14 F 0.815 0.518 0.193
F15 F 0.828 0.180 0.848
F16 F 0.830 0.820 0.539
F17 F 0.863 0.692 0.345
F18 F 0.868 0.022 0.674
F19 F 0.886 0.353 0.010
```

# Na3CrBPO7
Computed powder X-ray diffraction pattern, Cu Ka. Input: a DFT-relaxed cell (PBE+U, the Materials Project).
Peak positions follow from Bragg's law for the DFT cell and can differ from measured ones.

The 8 most intense peaks (15° ≤ 2θ ≤ 90°), low angle first:
2θ 16.72, I 43; 2θ 19.80, I 40; 2θ 25.67, I 39; 2θ 27.09, I 92; 2θ 33.43, I 57; 2θ 33.79, I 100; 2θ 33.91, I 75; 2θ 55.87, I 34

Structure:
```
data_Na3CrBPO7
_cell_length_a 5.289
_cell_length_b 6.583
_cell_length_c 8.950
_cell_angle_alpha 90.00
_cell_angle_beta 91.85
_cell_angle_gamma 90.00
_symmetry_space_group_name_H-M 'P 1 21/m 1'
_symmetry_Int_Tables_number 11
loop_
_symmetry_equiv_pos_as_xyz
'x,y,z'
'-x,-y,-z'
'-x,y+1/2,-z'
'x,-y+1/2,z'
loop_
_atom_site_label
_atom_site_type_symbol
_atom_site_fract_x
_atom_site_fract_y
_atom_site_fract_z
Na1 Na 0.242 0.250 0.072
Na2 Na 0.251 0.504 0.746
Cr1 Cr 0.221 0.750 0.337
B1 B 0.271 0.750 0.068
P1 P 0.281 0.250 0.422
O1 O 0.036 0.750 0.138
O2 O 0.127 0.250 0.566
O3 O 0.215 0.063 0.323
O4 O 0.302 0.750 0.920
O5 O 0.430 0.750 0.536
O6 O 0.471 0.750 0.176
```

# MgMn6Nb4O18
Computed powder X-ray diffraction pattern, Cu Ka. Input: a DFT-relaxed cell (PBE+U, the Materials Project).
Peak positions follow from Bragg's law for the DFT cell and can differ from measured ones.

The 8 most intense peaks (15° ≤ 2θ ≤ 90°), low angle first:
2θ 18.83, I 92; 2θ 18.94, I 96; 2θ 19.22, I 82; 2θ 23.60, I 70; 2θ 32.38, I 75; 2θ 32.79, I 100; 2θ 33.34, I 78; 2θ 33.50, I 74

Structure:
```
data_MgMn6Nb4O18
_cell_length_a 5.374
_cell_length_b 5.396
_cell_length_c 15.320
_cell_angle_alpha 94.48
_cell_angle_beta 95.53
_cell_angle_gamma 118.10
_symmetry_space_group_name_H-M 'P 1'
_symmetry_Int_Tables_number 1
loop_
_symmetry_equiv_pos_as_xyz
'x,y,z'
loop_
_atom_site_label
_atom_site_type_symbol
_atom_site_fract_x
_atom_site_fract_y
_atom_site_fract_z
Mg1 Mg 0.000 0.000 0.000
Mn1 Mn 0.323 0.649 0.024
Mn2 Mn 0.467 0.795 0.506
Mn3 Mn 0.669 0.345 0.058
Mn4 Mn 0.772 0.428 0.331
Mn5 Mn 0.816 0.470 0.534
Mn6 Mn 0.818 0.393 0.830
Nb1 Nb 0.071 0.068 0.180
Nb2 Nb 0.085 0.077 0.373
Nb3 Nb 0.131 0.041 0.833
Nb4 Nb 0.207 0.190 0.641
O1 O 0.037 0.326 0.095
O2 O 0.058 0.278 0.752
O3 O 0.071 0.718 0.924
O4 O 0.072 0.422 0.422
O5 O 0.183 0.851 0.586
O6 O 0.320 0.016 0.105
O7 O 0.379 0.292 0.948
O8 O 0.381 0.317 0.276
O9 O 0.433 0.132 0.759
O10 O 0.434 0.123 0.431
O11 O 0.478 0.484 0.589
O12 O 0.739 0.760 0.085
O13 O 0.793 0.748 0.418
O14 O 0.830 0.151 0.267
O15 O 0.831 0.105 0.895
O16 O 0.861 0.135 0.576
O17 O 0.861 0.688 0.765
O18 O 0.998 0.780 0.265
```

# Na2NiP4O20
Computed powder X-ray diffraction pattern, Cu Ka. Input: a DFT-relaxed cell (PBE+U, the Materials Project).
Peak positions follow from Bragg's law for the DFT cell and can differ from measured ones.

The 8 most intense peaks (15° ≤ 2θ ≤ 90°), low angle first:
2θ 15.81, I 27; 2θ 16.42, I 20; 2θ 19.32, I 42; 2θ 22.88, I 100; 2θ 24.21, I 34; 2θ 28.25, I 23; 2θ 31.85, I 35; 2θ 36.39, I 37

Structure:
```
data_Na2NiP4O20
_cell_length_a 7.602
_cell_length_b 10.798
_cell_length_c 11.731
_cell_angle_alpha 90.00
_cell_angle_beta 120.05
_cell_angle_gamma 90.00
_symmetry_space_group_name_H-M 'P 1 21/c 1'
_symmetry_Int_Tables_number 14
loop_
_symmetry_equiv_pos_as_xyz
'x,y,z'
'-x,-y,-z'
'-x,y+1/2,-z+1/2'
'x,-y+1/2,z+1/2'
loop_
_atom_site_label
_atom_site_type_symbol
_atom_site_fract_x
_atom_site_fract_y
_atom_site_fract_z
Na1 Na 0.205 0.160 0.000
Ni1 Ni 0.500 0.000 0.500
P1 P 0.062 0.049 0.297
P2 P 0.286 0.735 0.100
O1 O 0.019 0.033 0.632
O2 O 0.081 0.186 0.335
O3 O 0.089 0.515 0.347
O4 O 0.118 0.674 0.535
O5 O 0.285 0.021 0.325
O6 O 0.341 0.661 0.013
O7 O 0.381 0.100 0.561
O8 O 0.401 0.718 0.245
O9 O 0.454 0.100 0.883
O10 O 0.481 0.010 0.829
```

# MgFeCo2O6
Computed powder X-ray diffraction pattern, Cu Ka. Input: a DFT-relaxed cell (PBE+U, the Materials Project).
Peak positions follow from Bragg's law for the DFT cell and can differ from measured ones.

The 8 most intense peaks (15° ≤ 2θ ≤ 90°), low angle first:
2θ 17.87, I 100; 2θ 35.81, I 7; 2θ 36.15, I 20; 2θ 37.53, I 36; 2θ 37.62, I 17; 2θ 47.05, I 18; 2θ 47.19, I 34; 2θ 63.58, I 13

Structure:
```
data_MgFeCo2O6
_cell_length_a 2.907
_cell_length_b 5.259
_cell_length_c 7.759
_cell_angle_alpha 108.87
_cell_angle_beta 100.79
_cell_angle_gamma 90.15
_symmetry_space_group_name_H-M 'P 1'
_symmetry_Int_Tables_number 1
loop_
_symmetry_equiv_pos_as_xyz
'x,y,z'
loop_
_atom_site_label
_atom_site_type_symbol
_atom_site_fract_x
_atom_site_fract_y
_atom_site_fract_z
Mg1 Mg 0.000 0.000 0.000
Fe1 Fe 0.280 0.480 0.559
Co1 Co 0.618 0.532 0.236
Co2 Co 0.945 0.470 0.890
O1 O 0.072 0.700 0.143
O2 O 0.129 0.292 0.261
O3 O 0.425 0.697 0.849
O4 O 0.475 0.265 0.951
O5 O 0.746 0.687 0.490
O6 O 0.816 0.288 0.632
```

# BaVSi2O7
Computed powder X-ray diffraction pattern, Cu Ka. Input: a DFT-relaxed cell (PBE+U, the Materials Project).
Peak positions follow from Bragg's law for the DFT cell and can differ from measured ones.

The 8 most intense peaks (15° ≤ 2θ ≤ 90°), low angle first:
2θ 23.28, I 31; 2θ 26.12, I 16; 2θ 29.27, I 100; 2θ 35.43, I 37; 2θ 35.59, I 34; 2θ 38.77, I 19; 2θ 51.09, I 17; 2θ 59.87, I 21

Structure:
```
data_BaVSi2O7
_cell_length_a 7.166
_cell_length_b 7.166
_cell_length_c 11.636
_cell_angle_alpha 90.00
_cell_angle_beta 90.00
_cell_angle_gamma 90.00
_symmetry_space_group_name_H-M 'I 4/m'
_symmetry_Int_Tables_number 87
_symmetry_space_group_name_Hall '-I 4'
loop_
_atom_site_label
_atom_site_type_symbol
_atom_site_fract_x
_atom_site_fract_y
_atom_site_fract_z
Ba1 Ba 0.000 0.500 0.250
V1 V 0.000 0.000 0.158
Si1 Si 0.216 0.232 0.500
O1 O 0.000 0.000 0.299
O2 O 0.009 0.729 0.500
O3 O 0.178 0.798 0.118
```

# KLi4CrO5
Computed powder X-ray diffraction pattern, Cu Ka. Input: a DFT-relaxed cell (PBE+U, the Materials Project).
Peak positions follow from Bragg's law for the DFT cell and can differ from measured ones.

The 8 most intense peaks (15° ≤ 2θ ≤ 90°), low angle first:
2θ 17.25, I 100; 2θ 19.53, I 58; 2θ 21.80, I 87; 2θ 30.99, I 50; 2θ 32.27, I 78; 2θ 34.81, I 53; 2θ 40.58, I 61; 2θ 41.43, I 57

Structure:
```
data_KLi4CrO5
_cell_length_a 5.608
_cell_length_b 5.874
_cell_length_c 8.307
_cell_angle_alpha 91.43
_cell_angle_beta 98.29
_cell_angle_gamma 118.35
_symmetry_space_group_name_H-M 'P -1'
_symmetry_Int_Tables_number 2
loop_
_symmetry_equiv_pos_as_xyz
'x,y,z'
'-x,-y,-z'
loop_
_atom_site_label
_atom_site_type_symbol
_atom_site_fract_x
_atom_site_fract_y
_atom_site_fract_z
K1 K 0.110 0.254 0.413
Li1 Li 0.060 0.858 0.085
Li2 Li 0.167 0.496 0.125
Li3 Li 0.378 0.824 0.375
Li4 Li 0.401 0.117 0.913
Cr1 Cr 0.368 0.598 0.780
O1 O 0.004 0.659 0.272
O2 O 0.249 0.733 0.940
O3 O 0.276 0.230 0.088
O4 O 0.412 0.783 0.619
O5 O 0.452 0.338 0.730
```